[1]
For NdCdAu, a crystal structure in the Materials Project, relaxed with PBE gives the computed powder diffractogram in this record (a wavelength of 1.5418 Å).
Lines closer than 0.1° are merged.

Structural model:
a b c (Å): 8.0160 8.0160 3.9982
angles (deg): 90.00 90.00 120.00
Space group P-62m (No. 189)
Unique sites:
Nd 0.0000 0.5921 0.0000 (multiplicity 3)
Cd 0.0000 0.2578 0.5000 (multiplicity 3)
Au 0.0000 0.0000 0.0000 (multiplicity 1)
Au 0.3333 0.6667 0.5000 (multiplicity 2)

Top 6 peaks for 2θ = 10–80°, sorted by position:
| 2theta | I_rel |
| --- | --- |
| 31.61 | 55 |
| 34.20 | 100 |
| 38.92 | 39 |
| 41.15 | 33 |
| 61.25 | 30 |
| 62.81 | 27 |

[2]
For NpCdAu2, a crystal structure in the Materials Project, relaxed with PBE gives the computed powder diffractogram in this record (a wavelength of 1.5418 Å).
Lines closer than 0.1° are merged.

Structural model:
a b c (Å): 7.088 7.088 7.088
angles (deg): 90.00 90.00 90.00
Space group Fm-3m (No. 225)
Unique sites:
Np 0.000 0.000 0.000 (multiplicity 4)
Cd 0.000 0.000 0.500 (multiplicity 4)
Au 0.250 0.250 0.250 (multiplicity 8)

Top 6 peaks for 2θ = 10–80°, sorted by position:
| 2theta | I_rel |
| --- | --- |
| 21.72 | 5 |
| 35.83 | 100 |
| 42.29 | 3 |
| 51.58 | 18 |
| 64.39 | 37 |
| 75.94 | 12 |

[3]
For PaCdAu2, a crystal structure in the Materials Project, relaxed with PBE gives the computed powder diffractogram in this record (a wavelength of 1.5418 Å).
Lines closer than 0.1° are merged.

Structural model:
a b c (Å): 7.029 7.029 7.029
angles (deg): 90.00 90.00 90.00
Space group Fm-3m (No. 225)
Unique sites:
Pa 0.000 0.000 0.000 (multiplicity 4)
Cd 0.000 0.000 0.500 (multiplicity 4)
Au 0.250 0.250 0.250 (multiplicity 8)

Top 6 peaks for 2θ = 10–80°, sorted by position:
| 2theta | I_rel |
| --- | --- |
| 21.90 | 5 |
| 36.14 | 100 |
| 42.66 | 3 |
| 52.04 | 18 |
| 65.00 | 37 |
| 76.69 | 12 |

[4]
For PmCdAu2, a crystal structure in the Materials Project, relaxed with PBE gives the computed powder diffractogram in this record (a wavelength of 1.5418 Å).
Lines closer than 0.1° are merged.

Structural model:
a b c (Å): 7.112 7.112 7.112
angles (deg): 90.00 90.00 90.00
Space group Fm-3m (No. 225)
Unique sites:
Pm 0.000 0.000 0.000 (multiplicity 4)
Cd 0.000 0.000 0.500 (multiplicity 4)
Au 0.250 0.250 0.250 (multiplicity 8)

Top 6 peaks for 2θ = 10–80°, sorted by position:
| 2theta | I_rel |
| --- | --- |
| 25.04 | 5 |
| 35.71 | 100 |
| 51.39 | 18 |
| 57.99 | 2 |
| 64.15 | 36 |
| 75.63 | 11 |